[1]
# BaAgAuS3
Calculated powder X-ray diffraction pattern, Cu Kα, 1.54184 Å. Input: DFT lattice parameters and positions (GGA-PBE).
Lines closer than 0.1° are merged.

Most intense lines, 10 to 90 degrees two-theta, in order of rising 2θ:
2θ = 13.45°, I = 73, hkl 0 2 0; 2θ = 22.07°, I = 58, hkl 0 2 2; 2θ = 27.10°, I = 45, hkl 0 4 0; 2θ = 28.76°, I = 81, hkl 1 1 2; 2θ = 31.11°, I = 74, hkl 1 3 1; 2θ = 34.74°, I = 100, hkl 1 3 2; 2θ = 35.24°, I = 60, hkl 0 0 4; 2θ = 44.16°, I = 34, hkl 2 0 0; 2θ = 44.60°, I = 38, hkl 1 5 2; 2θ = 45.00°, I = 53, hkl 0 6 2; 2θ = 54.45°, I = 31, hkl 1 3 5; 2θ = 64.88°, I = 36, hkl 2 6 2

Structure:
Unit cell a=4.102 b=13.162 c=10.188 alpha=90.00 beta=90.00 gamma=90.00
Space group Cmcm (No. 63)
One atom of each set of equivalent atoms:
Ba1 0.000 0.248 0.250 [4 per cell]
Ag1 0.000 0.463 0.750 [4 per cell]
Au1 0.000 0.000 0.000 [4 per cell]
S1 0.000 0.072 0.750 [4 per cell]
S2 0.000 0.371 0.532 [8 per cell]

***

[2]
# Nb3SBr4Cl3
Calculated powder X-ray diffraction pattern, Cu Kα, 1.54184 Å. Input: DFT lattice parameters and positions (GGA-PBE).
Lines closer than 0.1° are merged.

Most intense lines, 10 to 90 degrees two-theta, in order of rising 2θ:
2θ = 13.43°, I = 89, hkl 0 0 1; 2θ = 14.42°, I = 16, hkl 1 0 0; 2θ = 19.75°, I = 23, hkl 1 0 1; 2θ = 30.78°, I = 17, hkl 1 0 2; 2θ = 32.15°, I = 100, hkl 2 0 1; 2θ = 38.78°, I = 16, hkl 2 1 0; 2θ = 40.12°, I = 60, hkl 2 0 2; 2θ = 41.22°, I = 16, hkl 1 2 1; 2θ = 51.09°, I = 30, hkl 0 2 3; 2θ = 51.53°, I = 24, hkl 2 2 0; 2θ = 62.05°, I = 13, hkl 0 4 1; 2θ = 79.34°, I = 13, hkl 2 2 4

Structure:
Unit cell a=7.0939 b=7.0939 c=6.5946 alpha=90.00 beta=90.00 gamma=120.00
Space group P3m1 (No. 156)
One atom of each set of equivalent atoms:
Nb1 0.1985 0.3969 0.0000 [3 per cell]
S1 0.3333 0.6667 0.7348 [1 per cell]
Br1 0.0000 0.0000 0.2191 [1 per cell]
Br2 0.3375 0.1687 0.7803 [3 per cell]
Cl1 0.0065 0.5033 0.2394 [3 per cell]

***

[3]
# Nd3InSe6
Calculated powder X-ray diffraction pattern, Cu Kα, 1.54184 Å. Input: DFT lattice parameters and positions (GGA-PBE).
Lines closer than 0.1° are merged.

Most intense lines, 10 to 90 degrees two-theta, in order of rising 2θ:
2θ = 23.63°, I = 48, hkl 2 4 0; 2θ = 24.55°, I = 30, hkl 1 2 1; 2θ = 29.14°, I = 36, hkl 2 3 1; 2θ = 30.25°, I = 64, hkl 1 4 1; 2θ = 31.44°, I = 69, hkl 5 1 0; 2θ = 32.14°, I = 41, hkl 2 4 1; 2θ = 32.35°, I = 100, hkl 3 3 1; 2θ = 33.36°, I = 80, hkl 0 5 1; 2θ = 38.39°, I = 45, hkl 5 1 1; 2θ = 41.95°, I = 40, hkl 0 7 1; 2θ = 42.11°, I = 32, hkl 3 6 1; 2θ = 43.75°, I = 71, hkl 0 0 2

Structure:
Unit cell a=14.417 b=17.656 c=4.138 alpha=90.00 beta=90.00 gamma=90.00
Space group Pnnm (No. 58)
One atom of each set of equivalent atoms:
Nd1 0.041 0.224 0.000 [4 per cell]
Nd2 0.187 0.645 0.000 [4 per cell]
Nd3 0.249 0.894 0.500 [4 per cell]
In1 0.000 0.000 0.500 [2 per cell]
In2 0.000 0.500 0.500 [2 per cell]
Se1 0.023 0.397 0.000 [4 per cell]
Se2 0.094 0.914 0.000 [4 per cell]
Se3 0.112 0.116 0.500 [4 per cell]
Se4 0.112 0.748 0.500 [4 per cell]
Se5 0.182 0.285 0.500 [4 per cell]
Se6 0.191 0.519 0.500 [4 per cell]

***

[4]
# Cs2TcPbF6
Calculated powder X-ray diffraction pattern, Cu Kα, 1.54184 Å. Input: DFT lattice parameters and positions (GGA-PBE).
Lines closer than 0.1° are merged.

Most intense lines, 10 to 90 degrees two-theta, in order of rising 2θ:
2θ = 15.99°, I = 14, hkl 1 0 1; 2θ = 26.01°, I = 48, hkl 1 0 7; 2θ = 27.40°, I = 100, hkl 1 1 0; 2θ = 28.46°, I = 10, hkl 0 1 8; 2θ = 33.68°, I = 14, hkl 1 0 10; 2θ = 38.14°, I = 34, hkl 0 2 7; 2θ = 43.95°, I = 9, hkl 0 2 10; 2θ = 47.60°, I = 19, hkl 2 1 7; 2θ = 48.43°, I = 21, hkl 3 0 0; 2θ = 53.52°, I = 14, hkl 2 0 14; 2θ = 56.54°, I = 21, hkl 2 2 0; 2θ = 77.60°, I = 11, hkl 4 1 0

Structure:
Unit cell a=6.5105 b=6.5105 c=30.1859 alpha=90.00 beta=90.00 gamma=120.00
Space group R-3m (No. 166, hexagonal axes)
One atom of each set of equivalent atoms:
Cs1 0.0000 0.0000 0.1304 [6 per cell]
Cs2 0.0000 0.0000 0.2808 [6 per cell]
Tc1 0.0000 0.0000 0.0000 [3 per cell]
Tc2 0.0000 0.0000 0.5000 [3 per cell]
Pb1 0.0000 0.0000 0.4101 [6 per cell]
F1 0.0033 0.5017 0.8696 [18 per cell]
F2 0.0403 0.5202 0.7067 [18 per cell]

***

[5]
# BaAg6O4
Calculated powder X-ray diffraction pattern, Cu Kα, 1.54184 Å. Input: DFT lattice parameters and positions (GGA-PBE).
Lines closer than 0.1° are merged.

Most intense lines, 10 to 90 degrees two-theta, in order of rising 2θ:
2θ = 27.85°, I = 19, hkl 0 4 0; 2θ = 29.42°, I = 40, hkl 2 1 1; 2θ = 31.66°, I = 20, hkl 1 3 2; 2θ = 32.30°, I = 30, hkl 1 0 3; 2θ = 32.53°, I = 100, hkl 1 4 1; 2θ = 33.32°, I = 46, hkl 2 0 2; 2θ = 34.06°, I = 77, hkl 2 1 2; 2θ = 34.17°, I = 57, hkl 0 4 2; 2θ = 38.73°, I = 27, hkl 1 3 3; 2θ = 41.95°, I = 22, hkl 0 2 4; 2θ = 56.68°, I = 40, hkl 2 4 4; 2θ = 57.54°, I = 20, hkl 0 8 0

Structure:
Unit cell a=6.650 b=12.813 c=9.147 alpha=90.00 beta=90.00 gamma=90.00
Space group Pnna (No. 52)
One atom of each set of equivalent atoms:
Ba1 0.250 0.000 0.120 [4 per cell]
Ag1 0.000 0.000 0.500 [4 per cell]
Ag2 0.079 0.237 0.469 [8 per cell]
Ag3 0.106 0.750 0.250 [4 per cell]
Ag4 0.207 0.627 0.743 [8 per cell]
O1 0.053 0.127 0.907 [8 per cell]
O2 0.086 0.106 0.335 [8 per cell]

***

[6]
# Ta4In3Mo2N3
Calculated powder X-ray diffraction pattern, Cu Kα, 1.54184 Å. Input: DFT lattice parameters and positions (GGA-PBE).
Lines closer than 0.1° are merged.

Most intense lines, 10 to 90 degrees two-theta, in order of rising 2θ:
2θ = 33.94°, I = 21, hkl 3 1 -1; 2θ = 36.49°, I = 24, hkl 0 0 6; 2θ = 38.68°, I = 100, hkl 0 2 3; 2θ = 50.65°, I = 11, hkl 3 1 -7; 2θ = 50.75°, I = 6, hkl 3 1 5; 2θ = 60.73°, I = 18, hkl 6 0 -2; 2θ = 67.04°, I = 6, hkl 3 1 -10; 2θ = 67.18°, I = 13, hkl 0 2 9; 2θ = 72.92°, I = 6, hkl 3 3 -7; 2θ = 73.04°, I = 10, hkl 6 0 4; 2θ = 74.28°, I = 5, hkl 6 2 -5; 2θ = 74.40°, I = 9, hkl 6 2 1

Structure:
Unit cell a=9.155 b=5.281 c=15.096 alpha=90.00 beta=101.84 gamma=90.00
Space group C2/c (No. 15)
One atom of each set of equivalent atoms:
Ta1 0.111 0.095 0.086 [8 per cell]
Ta2 0.226 0.080 0.413 [8 per cell]
In1 0.000 0.086 0.750 [4 per cell]
In2 0.164 0.423 0.252 [8 per cell]
Mo1 0.048 0.420 0.911 [8 per cell]
N1 0.088 0.236 0.500 [8 per cell]
N2 0.250 0.250 0.000 [4 per cell]

***

[7]
# UAlAu2
Calculated powder X-ray diffraction pattern, Cu Kα, 1.54184 Å. Input: DFT lattice parameters and positions (GGA-PBE).
Lines closer than 0.1° are merged.

Most intense lines, 10 to 90 degrees two-theta, in order of rising 2θ:
2θ = 24.86°, I = 51, hkl 2 1 0; 2θ = 29.58°, I = 54, hkl 2 1 1; 2θ = 32.14°, I = 61, hkl 1 2 1; 2θ = 33.55°, I = 89, hkl 2 2 0; 2θ = 33.68°, I = 100, hkl 1 0 2; 2θ = 35.97°, I = 57, hkl 3 0 1; 2θ = 36.15°, I = 70, hkl 1 1 2; 2θ = 37.28°, I = 98, hkl 2 2 1; 2θ = 42.23°, I = 43, hkl 0 3 1; 2θ = 42.82°, I = 37, hkl 1 2 2; 2θ = 46.35°, I = 53, hkl 4 0 1; 2θ = 59.55°, I = 48, hkl 4 3 0

Structure:
Unit cell a=8.362 b=6.945 c=5.613 alpha=90.00 beta=90.00 gamma=90.00
Space group Pnma (No. 62)
One atom of each set of equivalent atoms:
U1 0.055 0.250 0.151 [4 per cell]
Al1 0.104 0.750 0.345 [4 per cell]
Au1 0.178 0.043 0.628 [8 per cell]